CsCd2H4: simulated X-ray diffraction stick pattern (Cu Kα, 1.54184 Å), based on a GGA-PBE-relaxed structure.
No peak broadening, texture or thermal motion is included.

Structural model:
```
14
Lattice="2.8148 -4.2956 0.0000 2.8148 4.2956 0.0000 0.0000 0.0000 11.3802" Properties=species:S:1:pos:R:3 pbc="T T T"
Cs 0.0000 0.0000 2.8451
Cs 0.0000 0.0000 8.5352
Cd 2.8077 1.4861 0.0000
Cd 2.8219 1.4861 5.6901
Cd 2.8077 -1.4861 5.6901
Cd 2.8219 -1.4861 0.0000
H 1.4074 2.1478 1.3029
H 1.4074 2.1478 10.0773
H 0.8547 0.9866 5.6901
H 0.8547 -0.9866 0.0000
H 1.4074 -2.1478 4.3872
H 1.4074 -2.1478 6.9930
H 4.7749 0.9866 0.0000
H 4.7749 -0.9866 5.6901
```

Principal peaks in the range 10 to 80 degrees two-theta, low angle first:
| Position (°2θ) | Rel. int. |
| --- | --- |
| 24.5 | 100 |
| 26.0 | 53 |
| 31.4 | 31 |
| 35.2 | 45 |
| 41.5 | 30 |
| 47.9 | 37 |

---

Y17Tm2: simulated X-ray diffraction stick pattern (Cu Kα, 1.54184 Å), based on a GGA-PBE-relaxed structure.
No peak broadening, texture or thermal motion is included.

Structural model:
```
19
Lattice="5.5835 3.2236 5.9351 -5.5835 3.2236 5.9351 0.0000 -6.4473 5.9351" Properties=species:S:1:pos:R:3 pbc="T T T"
Y -5.5835 0.0000 8.9027
Y -1.6762 -3.5440 5.9351
Y -2.7918 1.6118 2.9675
Y -3.9073 0.3204 5.9351
Y 0.0000 0.0000 1.7265
Y -2.6675 -1.5401 8.3407
Y 1.6762 -3.5440 5.9351
Y -2.2311 3.2236 5.9351
Y 0.0000 -3.0802 9.4646
Y -2.6675 1.5401 9.4646
Y 2.7918 1.6118 2.9676
Y 2.6675 -1.5401 8.3407
Y 0.0000 3.0802 8.3407
Y 3.9073 0.3204 5.9351
Y 2.2311 3.2236 5.9351
Y 2.6675 1.5401 9.4646
Y 0.0000 0.0000 16.0788
Tm 0.0000 0.0000 5.6731
Tm 0.0000 0.0000 12.1322
```

Principal peaks in the range 10 to 80 degrees two-theta, low angle first:
| Position (°2θ) | Rel. int. |
| --- | --- |
| 27.7 | 35 |
| 30.1 | 24 |
| 31.2 | 60 |
| 31.6 | 100 |
| 32.1 | 55 |
| 35.5 | 32 |

---

PaCo2H8Rh: simulated X-ray diffraction stick pattern (Cu Kα, 1.54184 Å), based on a GGA-PBE-relaxed structure.
No peak broadening, texture or thermal motion is included.

Structural model:
```
12
Lattice="4.5373 0.0000 0.0000 -2.2687 3.9294 0.0000 0.0000 0.0000 5.8617" Properties=species:S:1:pos:R:3 pbc="T T T"
Pa 0.0000 0.0000 0.0000
Co 0.0000 2.6196 0.7988
Co 2.2687 1.3098 5.0629
H 0.0000 1.4207 1.9481
H -1.0383 3.2191 1.9481
H 0.0000 2.6196 5.1148
H 1.2303 0.7103 3.9136
H 1.0383 3.2191 1.9481
H 2.2687 1.3098 0.7469
H 3.3070 0.7103 3.9136
H 2.2687 2.5088 3.9136
Rh 0.0000 0.0000 2.9308
```

Principal peaks in the range 10 to 80 degrees two-theta, low angle first:
| Position (°2θ) | Rel. int. |
| --- | --- |
| 15.1 | 45 |
| 22.6 | 100 |
| 38.3 | 92 |
| 39.7 | 68 |
| 50.9 | 32 |
| 56.4 | 31 |

---

LiH6BrO7: simulated X-ray diffraction stick pattern (Cu Kα, 1.54184 Å), based on a GGA-PBE-relaxed structure.
No peak broadening, texture or thermal motion is included.

Structural model:
```
30
Lattice="7.8770 0.0000 0.0000 -3.9385 6.8217 0.0000 0.0000 0.0000 5.7136" Properties=species:S:1:pos:R:3 pbc="T T T"
Li 0.0000 0.0000 0.0000
Li 0.0000 0.0000 2.8568
H -0.7813 2.2263 1.4059
H -2.4011 5.0319 1.4059
H 0.7813 2.2263 1.4059
H -1.6198 6.3851 1.4059
H 2.3187 0.4366 4.2626
H 1.5374 1.7897 4.2626
H 2.4011 5.0319 1.4059
H 1.6198 6.3851 1.4059
H 5.5583 0.4366 4.2626
H 3.1572 4.5954 4.2626
H 6.3396 1.7897 4.2626
H 4.7198 4.5954 4.2626
Br 0.0000 4.5478 4.5989
Br 3.9385 2.2739 1.7421
O -1.3482 3.7694 4.0303
O 0.0000 1.6319 1.4271
O -2.5252 6.0057 1.4271
O 1.4133 0.8160 4.2838
O 0.0000 4.5478 0.5290
O 1.3482 3.7694 4.0303
O 0.0000 6.1046 4.0303
O 3.9385 0.7171 1.1735
O 2.5903 3.0523 1.1735
O 3.9385 2.2739 3.3858
O 2.5252 6.0057 1.4271
O 6.4637 0.8160 4.2838
O 3.9385 5.1897 4.2838
O 5.2867 3.0523 1.1735
```

Principal peaks in the range 10 to 80 degrees two-theta, low angle first:
| Position (°2θ) | Rel. int. |
| --- | --- |
| 13.0 | 27 |
| 20.3 | 100 |
| 22.6 | 56 |
| 30.5 | 65 |
| 31.3 | 22 |
| 34.8 | 22 |

---

Er4TmAg: simulated X-ray diffraction stick pattern (Cu Kα, 1.54184 Å), based on a GGA-PBE-relaxed structure.
No peak broadening, texture or thermal motion is included.

Structural model:
```
6
Lattice="3.4985 0.0000 0.0000 0.0000 3.4985 0.0000 0.0000 0.0000 13.8243" Properties=species:S:1:pos:R:3 pbc="T T T"
Er 0.0000 0.0000 1.9184
Er 0.0000 0.0000 11.9059
Er 1.7492 1.7492 4.4416
Er 1.7492 1.7492 9.3827
Tm 0.0000 0.0000 6.9121
Ag 1.7492 1.7492 0.0000
```

Principal peaks in the range 10 to 80 degrees two-theta, low angle first:
| Position (°2θ) | Rel. int. |
| --- | --- |
| 32.1 | 100 |
| 36.3 | 40 |
| 39.1 | 10 |
| 52.3 | 14 |
| 54.4 | 16 |
| 62.7 | 29 |

---

CaSmF4: simulated X-ray diffraction stick pattern (Cu Kα, 1.54184 Å), based on a GGA-PBE-relaxed structure.
No peak broadening, texture or thermal motion is included.

Structural model:
```
12
Lattice="-3.6805 3.6805 3.8503 3.6805 -3.6805 3.8503 3.6805 3.6805 -3.8503" Properties=species:S:1:pos:R:3 pbc="T T T"
Ca 0.0000 0.0000 0.0000
Ca 0.0000 3.6805 1.9251
Sm 3.6805 0.0000 1.8089
Sm 0.0000 0.0000 3.7340
F 3.6805 2.2763 -2.0682
F 0.0000 1.4042 1.7821
F 1.3642 3.6805 0.0459
F 2.3163 0.0000 3.8962
F 3.6805 2.3163 1.9710
F 0.0000 1.3642 5.8213
F -1.4042 3.6805 3.7072
F 1.4042 3.6805 3.7072
```

Principal peaks in the range 10 to 80 degrees two-theta, low angle first:
| Position (°2θ) | Rel. int. |
| --- | --- |
| 16.7 | 56 |
| 24.2 | 100 |
| 28.8 | 79 |
| 29.5 | 34 |
| 45.5 | 77 |
| 58.3 | 26 |

---

Ce8Hg2Pt3: simulated X-ray diffraction stick pattern (Cu Kα, 1.54184 Å), based on a GGA-PBE-relaxed structure.
No peak broadening, texture or thermal motion is included.

Structural model:
```
13
Lattice="7.3993 -4.0624 0.0000 7.3993 4.0624 0.0000 -1.0197 0.0000 5.6916" Properties=species:S:1:pos:R:3 pbc="T T T"
Ce 5.4685 2.6698 3.0143
Ce 1.5380 0.0000 5.2941
Ce 8.3105 2.6698 2.6773
Ce 5.8765 0.0000 0.1649
Ce 7.9025 0.0000 5.5267
Ce 5.4685 -2.6698 3.0143
Ce 12.2411 0.0000 0.3974
Ce 8.3105 -2.6698 2.6773
Hg 3.7748 0.0000 2.6788
Hg 10.0042 0.0000 3.0128
Pt 7.3993 2.5816 0.0000
Pt 6.8895 0.0000 2.8458
Pt 7.3993 -2.5816 0.0000
```

Principal peaks in the range 10 to 80 degrees two-theta, low angle first:
| Position (°2θ) | Rel. int. |
| --- | --- |
| 31.4 | 97 |
| 33.7 | 64 |
| 33.8 | 100 |
| 34.7 | 53 |
| 38.6 | 61 |
| 38.8 | 59 |

---

LaYbMo12S16: simulated X-ray diffraction stick pattern (Cu Kα, 1.54184 Å), based on a GGA-PBE-relaxed structure.
No peak broadening, texture or thermal motion is included.

Structural model:
```
30
Lattice="6.5491 0.0000 0.0000 0.1004 6.5508 0.0000 0.1700 0.1819 13.1004" Properties=species:S:1:pos:R:3 pbc="T T T"
La 0.0000 0.0000 0.0000
Yb 0.0850 0.0909 6.5502
Mo 1.6279 3.7825 9.2854
Mo 1.5960 3.7396 2.7614
Mo 2.8788 1.6006 10.2139
Mo 2.8440 1.5476 3.6875
Mo 3.0591 3.9486 11.6123
Mo 3.0230 3.8871 5.0844
Mo 3.7965 2.8456 8.0161
Mo 3.7604 2.7841 1.4881
Mo 3.9755 5.1851 9.4129
Mo 3.9407 5.1321 2.8865
Mo 5.2235 2.9931 10.3390
Mo 5.1916 2.9502 3.8150
S 0.9997 2.6021 11.4400
S 0.9624 2.5379 4.8974
S 1.6887 1.6754 8.1163
S 1.6528 1.6305 1.5991
S 1.8514 5.8444 10.6312
S 1.8258 5.7927 4.1088
S 2.5977 4.9849 7.3841
S 2.5639 4.9208 0.8374
S 4.2556 1.8119 12.2630
S 4.2218 1.7478 5.7164
S 4.9937 0.9400 8.9917
S 4.9681 0.8883 2.4692
S 5.1667 5.1022 11.5013
S 5.1308 5.0573 4.9841
S 5.8571 4.1948 8.2030
S 5.8198 4.1306 1.6605
```

Principal peaks in the range 10 to 80 degrees two-theta, low angle first:
| Position (°2θ) | Rel. int. |
| --- | --- |
| 13.5 | 100 |
| 19.0 | 82 |
| 30.7 | 91 |
| 33.6 | 72 |
| 41.6 | 95 |
| 43.5 | 74 |